Diffraction record for CaPaTcO6. The PXRD pattern is computed, not measured: it uses a cell relaxed with GGA-PBE and λ = 1.5418 Å (Cu Kα).
Lines closer than 0.1° are merged.

Cell and atoms:
Cell lengths 5.561, 5.561, 9.780 Å; angles 90.00, 90.00, 120.00 degrees
Fractional positions:
Ca  0.000  0.000  0.000
Ca  0.000  0.000  0.500
Pa  0.333  0.667  0.250
Pa  0.667  0.333  0.750
Tc  0.333  0.667  0.750
Tc  0.667  0.333  0.250
O  0.026  0.372  0.640
O  0.026  0.654  0.860
O  0.346  0.372  0.860
O  0.346  0.974  0.640
O  0.372  0.026  0.140
O  0.372  0.346  0.360
O  0.628  0.654  0.640
O  0.628  0.974  0.860
O  0.654  0.026  0.360
O  0.654  0.628  0.140
O  0.974  0.346  0.140
O  0.974  0.628  0.360

Top 10 peaks for 15° ≤ 2θ ≤ 90°, low angle first:
| two_theta | I_rel | h k l |
| --- | --- | --- |
| 18.14 | 826 | 0 0 2 |
| 18.42 | 432 | 1 0 0 |
| 20.56 | 378 | 1 0 1 |
| 25.97 | 1000 | 1 0 2 |
| 32.19 | 680 | 1 1 0 |
| 37.20 | 742 | 1 1 2 |
| 41.82 | 264 | 2 0 2 |
| 49.65 | 657 | 1 1 4 |
| 53.73 | 261 | 2 1 2 |
| 57.40 | 246 | 3 0 0 |